No. 1
Simulated X-ray powder pattern of Ca2Cr3O8 for Cu Kα (weighted mean of Kα1 and Kα2), from a DFT-relaxed cell (GGA+U, the Materials Project).

Cell and atoms:
Unit cell a=11.1304 b=6.0181 c=5.0458 alpha=90.00 beta=110.14 gamma=90.00
Space group C2/m (No. 12)
Asymmetric unit:
Ca: 0.2251 0.0000 0.1694 x4
Cr: 0.0000 0.2391 0.5000 x4
Cr: 0.0000 0.5000 0.0000 x2
O: 0.0989 0.5000 0.4087 x4
O: 0.1003 0.2822 0.8904 x8
O: 0.1040 0.0000 0.4586 x4

Principal peaks in the range 2θ = 10–90°, by angle:
index	2θ (°)	Rel. int.
2 0 0	16.98	100
2 0 -1	20.52	26
1 1 1	27.53	61
3 1 -1	30.02	48
2 2 0	34.37	42
2 2 -1	36.36	44
4 2 -1	44.95	55
2 0 2	47.27	28
4 2 1	54.87	31
2 2 -3	63.39	30

=====

No. 2
Simulated X-ray powder pattern of Cs2TlCoF6 for Cu Kα (weighted mean of Kα1 and Kα2), from a DFT-relaxed cell (GGA+U, the Materials Project).

Cell and atoms:
Unit cell a=9.1827 b=9.1827 c=9.1827 alpha=90.00 beta=90.00 gamma=90.00
Space group Fm-3m (No. 225)
Asymmetric unit:
Cs: 0.2500 0.2500 0.2500 x8
Tl: 0.0000 0.0000 0.0000 x4
Co: 0.0000 0.0000 0.5000 x4
F: 0.0000 0.0000 0.2939 x24

Principal peaks in the range 2θ = 10–90°, by angle:
index	2θ (°)	Rel. int.
1 1 1	16.72	9
2 2 0	27.47	100
3 1 1	32.33	11
4 0 0	39.24	30
3 3 1	42.93	8
4 2 2	48.57	39
4 4 0	56.71	18
6 2 0	64.14	21
4 4 4	71.13	6
6 4 2	77.84	22

=====

Repeat the first record exactly.
Simulated X-ray powder pattern of Ca2Cr3O8 for Cu Kα (weighted mean of Kα1 and Kα2), from a DFT-relaxed cell (GGA+U, the Materials Project).

Cell and atoms:
Unit cell a=11.1304 b=6.0181 c=5.0458 alpha=90.00 beta=110.14 gamma=90.00
Space group C2/m (No. 12)
Asymmetric unit:
Ca: 0.2251 0.0000 0.1694 x4
Cr: 0.0000 0.2391 0.5000 x4
Cr: 0.0000 0.5000 0.0000 x2
O: 0.0989 0.5000 0.4087 x4
O: 0.1003 0.2822 0.8904 x8
O: 0.1040 0.0000 0.4586 x4

Principal peaks in the range 2θ = 10–90°, by angle:
index	2θ (°)	Rel. int.
2 0 0	16.98	100
2 0 -1	20.52	26
1 1 1	27.53	61
3 1 -1	30.02	48
2 2 0	34.37	42
2 2 -1	36.36	44
4 2 -1	44.95	55
2 0 2	47.27	28
4 2 1	54.87	31
2 2 -3	63.39	30

=====

Number 1 is which compound?
Ca2Cr3O8